# LaZnCrCoO6
Simulated powder X-ray diffraction pattern, λ = 1.5418 Å (Cu Kα). Input: a structure optimized by DFT (GGA+U).
Kinematic intensities with the Lorentz-polarization factor, no thermal factor.

Crystal structure
```
data_LaZnCrCoO6
_chemical_formula_sum 'La2 Zn2 Cr2 Co2 O12'
_cell_length_a 5.261
_cell_length_b 5.325
_cell_length_c 9.304
_cell_angle_alpha 90.00
_cell_angle_beta 124.42
_cell_angle_gamma 90.00
_space_group_name_H-M_alt 'P 1 c 1'
_space_group_IT_number 7
_space_group_name_Hall 'P -2yc'
loop_
_atom_site_label
_atom_site_type_symbol
_atom_site_fract_x
_atom_site_fract_y
_atom_site_fract_z
_atom_site_occupancy
La1 La 0.000 0.215 0.000 1
Zn1 Zn 0.513 0.287 0.495 1
Cr1 Cr 0.761 0.260 0.249 1
Co1 Co 0.259 0.254 0.752 1
O1 O 0.131 0.234 0.503 1
O2 O 0.430 0.303 0.998 1
O3 O 0.502 0.049 0.306 1
O4 O 0.580 0.483 0.804 1
O5 O 0.890 0.050 0.696 1
O6 O 0.980 0.477 0.202 1
```

The 10 most intense peaks (10° ≤ 2θ ≤ 90°), in order of rising 2θ:
2θ = 33.45°, intensity 100; 2θ = 33.66°, intensity 22; 2θ = 34.09°, intensity 22; 2θ = 47.38°, intensity 15; 2θ = 48.66°, intensity 25; 2θ = 59.37°, intensity 11; 2θ = 59.65°, intensity 11; 2θ = 60.06°, intensity 15; 2θ = 60.61°, intensity 22; 2θ = 70.27°, intensity 13